The following is a calculated powder diffractogram of CaZr2Zn. It was derived from DFT lattice parameters and positions (PBE), using CuKα.
Lines closer than 0.1° are merged.

Largest 12 diffraction maxima, by angle, 10° ≤ 2θ ≤ 80°:
Position (°2θ), I_rel
19.28, 15.5
29.97, 8.6
32.35, 21.8
35.46, 29.8
35.98, 100.0
36.19, 13.8
44.68, 13.7
48.75, 13.2
51.56, 9.9
54.71, 8.1
64.00, 17.3
66.91, 8.6

```
CaZr2Zn
1.0
-1.6776 2.5317 5.5341
1.6776 -2.5317 5.5341
1.6776 2.5317 -5.5341
Ca Zr Zn
1 2 1
direct
0.0000 0.0000 0.0000
0.2868 0.7868 0.5000
0.7132 0.2132 0.5000
0.5000 0.5000 0.0000
```

***

The following is a calculated powder diffractogram of TaMo6. It was derived from DFT lattice parameters and positions (PBE), using CuKα.
Lines closer than 0.1° are merged.

Largest 12 diffraction maxima, by angle, 10° ≤ 2θ ≤ 80°:
Position (°2θ), I_rel
11.26, 3.5
16.93, 1.7
34.63, 1.3
35.59, 1.4
37.44, 1.6
39.87, 20.4
40.10, 100.0
57.89, 13.2
58.07, 6.6
72.54, 13.6
72.76, 6.8
72.95, 19.8

```
TaMo6
1.0
0.0000 2.2609 15.7131
1.5884 0.0000 15.7131
1.5884 2.2609 0.0000
Ta Mo
1 6
direct
0.0000 0.0000 0.0000
0.1439 0.1439 0.8561
0.2855 0.2855 0.7145
0.4266 0.4266 0.5734
0.5734 0.5734 0.4266
0.7145 0.7145 0.2855
0.8561 0.8561 0.1439
```

***

The following is a calculated powder diffractogram of TlAg3S2. It was derived from DFT lattice parameters and positions (PBE), using CuKα.
Lines closer than 0.1° are merged.

Largest 12 diffraction maxima, by angle, 10° ≤ 2θ ≤ 80°:
Position (°2θ), I_rel
23.69, 13.1
25.61, 12.6
27.61, 18.1
29.41, 14.3
31.47, 100.0
32.45, 30.6
32.96, 43.3
34.38, 33.0
40.45, 14.5
44.01, 30.7
48.35, 16.7
59.78, 14.2

```
TlAg3S2
1.0
8.7030 0.0000 0.0000
0.0000 8.9205 0.0000
0.0000 0.0000 6.9578
Tl Ag S
4 12 8
direct
0.0000 0.0925 0.2500
0.0000 0.9075 0.7500
0.5000 0.4075 0.7500
0.5000 0.5925 0.2500
0.0000 0.3352 0.7500
0.0000 0.6648 0.2500
0.1870 0.4034 0.1128
0.1870 0.5966 0.6128
0.3130 0.0966 0.6128
0.3130 0.9034 0.1128
0.5000 0.1648 0.2500
0.5000 0.8352 0.7500
0.6870 0.0966 0.8872
0.6870 0.9034 0.3872
0.8130 0.4034 0.3872
0.8130 0.5966 0.8872
0.1807 0.3296 0.4841
0.1807 0.6704 0.9841
0.3193 0.1704 0.9841
0.3193 0.8296 0.4841
0.6807 0.1704 0.5159
0.6807 0.8296 0.0159
0.8193 0.3296 0.0159
0.8193 0.6704 0.5159
```

***

The following is a calculated powder diffractogram of K2Dy2TcO6. It was derived from DFT lattice parameters and positions (PBE), using CuKα.
Lines closer than 0.1° are merged.

Largest 12 diffraction maxima, by angle, 10° ≤ 2θ ≤ 80°:
Position (°2θ), I_rel
13.95, 100.0
28.11, 25.3
31.27, 30.3
31.96, 15.5
32.53, 28.9
36.18, 44.0
36.65, 21.4
45.51, 12.5
49.98, 14.3
54.84, 12.9
57.26, 10.0
57.64, 8.5

```
K2Dy2TcO6
1.0
2.9069 -4.9882 0.0000
2.9069 4.9882 0.0000
-1.7705 0.0000 6.3486
K Dy Tc O
2 2 1 6
direct
0.1615 0.8385 0.0000
0.8385 0.1615 0.0000
0.3351 0.6649 0.5000
0.6649 0.3351 0.5000
0.0000 0.0000 0.5000
0.0488 0.3618 0.6723
0.2494 0.2494 0.3257
0.3618 0.0488 0.6723
0.6382 0.9512 0.3277
0.7506 0.7506 0.6743
0.9512 0.6382 0.3277
```

***

The following is a calculated powder diffractogram of In3Ag2. It was derived from DFT lattice parameters and positions (PBE), using CuKα.
Lines closer than 0.1° are merged.

Largest 12 diffraction maxima, by angle, 10° ≤ 2θ ≤ 80°:
Position (°2θ), I_rel
33.31, 100.0
39.60, 19.3
40.60, 56.1
46.46, 0.8
54.29, 23.9
63.05, 13.2
65.20, 13.4
69.26, 20.9
69.94, 10.6
71.24, 0.8
75.33, 0.7
77.08, 6.8

```
In3Ag2
1.0
1.6898 0.9756 11.3782
-1.6898 0.9756 11.3782
0.0000 -1.9512 11.3782
In Ag
3 2
direct
0.0000 0.0000 0.0000
0.2039 0.2039 0.2039
0.7961 0.7961 0.7961
0.3981 0.3981 0.3981
0.6019 0.6019 0.6019
```

***

The following is a calculated powder diffractogram of Tb8PmSb6. It was derived from DFT lattice parameters and positions (PBE), using CuKα.
Lines closer than 0.1° are merged.

Largest 12 diffraction maxima, by angle, 10° ≤ 2θ ≤ 80°:
Position (°2θ), I_rel
22.01, 8.2
24.51, 40.8
30.90, 100.0
38.61, 62.2
39.49, 23.2
49.39, 15.8
50.24, 25.6
65.10, 23.3
69.52, 12.7
69.86, 10.7
70.45, 8.2
77.66, 8.2

```
Tb8PmSb6
1.0
4.0393 2.3321 8.2973
-4.0393 2.3321 8.2973
0.0000 -4.6642 8.2973
Tb Pm Sb
8 1 6
direct
0.0495 0.7082 0.3767
0.1665 0.1665 0.1665
0.2918 0.6233 0.9505
0.3767 0.0495 0.7082
0.6233 0.9505 0.2918
0.7082 0.3767 0.0495
0.8335 0.8335 0.8335
0.9505 0.2918 0.6233
0.5000 0.5000 0.5000
0.0932 0.4327 0.7691
0.2309 0.9068 0.5673
0.4327 0.7691 0.0932
0.5673 0.2309 0.9068
0.7691 0.0932 0.4327
0.9068 0.5673 0.2309
```

***

The following is a calculated powder diffractogram of Th2AsC2. It was derived from DFT lattice parameters and positions (PBE), using CuKα.
Lines closer than 0.1° are merged.

Largest 12 diffraction maxima, by angle, 10° ≤ 2θ ≤ 80°:
Position (°2θ), I_rel
25.68, 26.5
26.23, 51.9
26.80, 25.9
29.57, 100.0
31.96, 33.7
33.22, 15.9
42.32, 36.3
43.38, 26.3
44.80, 26.5
53.97, 13.5
61.39, 11.7
69.60, 15.5

```
Th2AsC2
1.0
7.1058 -2.1371 0.0000
7.1058 2.1371 0.0000
-1.4964 0.0000 6.7363
Th As C
4 2 4
direct
0.0913 0.6331 0.8448
0.3669 0.9087 0.6552
0.6331 0.0913 0.3448
0.9087 0.3669 0.1552
0.2726 0.7274 0.2500
0.7274 0.2726 0.7500
0.1405 0.4134 0.4687
0.4134 0.1405 0.9687
0.5866 0.8595 0.0313
0.8595 0.5866 0.5313
```

***

The following is a calculated powder diffractogram of Tb8DySc6. It was derived from DFT lattice parameters and positions (PBE), using CuKα.
Lines closer than 0.1° are merged.

Largest 12 diffraction maxima, by angle, 10° ≤ 2θ ≤ 80°:
Position (°2θ), I_rel
13.88, 10.7
17.92, 11.7
24.09, 33.9
26.67, 27.2
33.32, 26.7
34.33, 100.0
41.56, 8.6
42.35, 7.2
49.34, 10.9
52.85, 13.6
61.44, 12.8
61.64, 8.8

```
Tb8DySc6
1.0
9.0594 0.0000 0.0000
-4.5297 7.8457 0.0000
0.0000 0.0000 6.3812
Tb Dy Sc
8 1 6
direct
0.0381 0.3458 0.1108
0.3076 0.9619 0.1108
0.3333 0.6667 0.7778
0.3458 0.3076 0.8892
0.6542 0.6924 0.1108
0.6667 0.3333 0.2222
0.6924 0.0381 0.8892
0.9619 0.6542 0.8892
0.0000 0.0000 0.5000
0.0668 0.6708 0.4022
0.3292 0.3961 0.4022
0.3961 0.0668 0.5978
0.6039 0.9332 0.4022
0.6708 0.6039 0.5978
0.9332 0.3292 0.5978
```